Diffraction record for Mn3Pt4O12. The X-ray diffraction stick pattern is calculated, not measured: it uses DFT lattice parameters and positions (PBE+U) and Cu Ka.
Neutral-atom scattering factors, no anomalous dispersion.

Cell and atoms:
a = 6.615 Å, b = 6.615 Å, c = 6.615 Å
α = 109.47°, β = 109.47°, γ = 109.47°
Fractional positions:
1 Mn 0.000 0.500 0.500
2 Mn 0.500 0.000 0.500
3 Mn 0.500 0.500 0.000
4 Pt 0.000 0.000 0.500
5 Pt 0.000 0.500 0.000
6 Pt 0.500 0.000 0.000
7 Pt 0.500 0.500 0.500
8 O 0.136 0.326 0.810
9 O 0.190 0.516 0.326
10 O 0.190 0.864 0.674
11 O 0.326 0.190 0.516
12 O 0.326 0.810 0.136
13 O 0.484 0.674 0.810
14 O 0.516 0.326 0.190
15 O 0.674 0.190 0.864
16 O 0.674 0.810 0.484
17 O 0.810 0.136 0.326
18 O 0.810 0.484 0.674
19 O 0.864 0.674 0.190

Most intense lines, 2θ from 10° to 80°, sorted by position:
- 16.41°, rel. 4
- 23.29°, rel. 60
- 28.62°, rel. 1
- 33.17°, rel. 100
- 37.22°, rel. 2
- 40.93°, rel. 13
- 47.62°, rel. 23
- 53.66°, rel. 28
- 59.26°, rel. 46
- 69.63°, rel. 13
- 74.53°, rel. 11
- 79.33°, rel. 18